Structure and calculated X-ray diffraction stick pattern of Fe2HgPCl (a GGA-PBE-relaxed structure; Cu Kα X-rays).

a = 4.4818 Å, b = 4.4818 Å, c = 5.2310 Å
α = 90.00°, β = 90.00°, γ = 90.00°
Fractional coordinates of all 5 atoms:
Fe  0.0000  0.5000  0.0000
Fe  0.5000  0.0000  0.0000
Hg  0.0000  0.0000  0.5000
P  0.0000  0.0000  0.0000
Cl  0.5000  0.5000  0.5000

The 10 most intense peaks (2θ = 10–90°), in order of falling intensity:
| Position (°2θ) | I (rel.) |
| --- | --- |
| 33.05 | 100.0 |
| 19.81 | 62.3 |
| 40.24 | 40.7 |
| 53.88 | 33.8 |
| 34.28 | 32.0 |
| 26.18 | 28.8 |
| 68.60 | 22.9 |
| 39.91 | 22.0 |
| 60.61 | 16.8 |
| 28.16 | 15.8 |

=====

Structure and calculated X-ray diffraction stick pattern of VFeHgCl6 (a GGA-PBE-relaxed structure; Cu Kα X-rays).

a = 6.1810 Å, b = 6.1810 Å, c = 8.7088 Å
α = 90.00°, β = 90.00°, γ = 120.00°
Fractional coordinates of all 9 atoms:
V  0.0000  0.0000  0.0000
Fe  0.3333  0.6667  0.0000
Hg  0.6667  0.3333  0.5000
Cl  0.0292  0.3264  0.1567
Cl  0.0292  0.7028  0.8433
Cl  0.2972  0.3264  0.8433
Cl  0.2972  0.9708  0.1567
Cl  0.6736  0.7028  0.1567
Cl  0.6736  0.9708  0.8433

The 10 most intense peaks (2θ = 10–90°), in order of falling intensity:
| Position (°2θ) | I (rel.) |
| --- | --- |
| 19.47 | 100.0 |
| 35.62 | 45.4 |
| 46.09 | 33.6 |
| 35.12 | 33.3 |
| 30.70 | 20.2 |
| 51.33 | 16.5 |
| 26.38 | 15.6 |
| 16.56 | 12.8 |
| 51.20 | 12.4 |
| 55.35 | 11.4 |

=====

Structure and calculated X-ray diffraction stick pattern of FeICl3 (a GGA-PBE-relaxed structure; Cu Kα X-rays).

a = 5.9500 Å, b = 6.7841 Å, c = 8.1758 Å
α = 79.94°, β = 89.94°, γ = 89.91°
Fractional coordinates of all 10 atoms:
Fe  0.0000  0.0000  0.0000
Fe  0.4992  0.0750  0.3731
I  0.3834  0.7245  0.5086
I  0.8836  0.3507  0.8643
Cl  0.2268  0.7473  0.0412
Cl  0.2511  0.1780  0.1436
Cl  0.2982  0.1975  0.5537
Cl  0.7254  0.3275  0.3316
Cl  0.7515  0.8969  0.2292
Cl  0.7999  0.8781  0.8191

The 10 most intense peaks (2θ = 10–90°), in order of falling intensity:
| Position (°2θ) | I (rel.) |
| --- | --- |
| 18.54 | 100.0 |
| 26.73 | 44.8 |
| 30.70 | 44.3 |
| 15.69 | 23.1 |
| 28.13 | 23.0 |
| 19.98 | 18.6 |
| 31.68 | 15.0 |
| 34.06 | 12.7 |
| 22.08 | 12.1 |
| 44.22 | 10.9 |

=====

Structure and calculated X-ray diffraction stick pattern of FeICl4 (a GGA-PBE-relaxed structure; Cu Kα X-rays).

a = 7.5025 Å, b = 7.5025 Å, c = 11.4684 Å
α = 93.67°, β = 93.67°, γ = 118.98°
Fractional coordinates of all 12 atoms:
Fe  0.2314  0.7686  0.7500
Fe  0.7686  0.2314  0.2500
I  0.3771  0.6229  0.2500
I  0.6229  0.3771  0.7500
Cl  0.0884  0.3338  0.3454
Cl  0.2099  0.5694  0.8810
Cl  0.3338  0.0884  0.8454
Cl  0.4306  0.7901  0.6190
Cl  0.5694  0.2099  0.3810
Cl  0.6662  0.9116  0.1546
Cl  0.7901  0.4306  0.1190
Cl  0.9116  0.6662  0.6546

The 10 most intense peaks (2θ = 10–90°), in order of falling intensity:
| Position (°2θ) | I (rel.) |
| --- | --- |
| 15.77 | 100.0 |
| 15.58 | 84.2 |
| 13.57 | 47.5 |
| 25.51 | 41.2 |
| 21.82 | 37.7 |
| 27.61 | 32.6 |
| 27.27 | 32.6 |
| 34.25 | 28.6 |
| 13.70 | 27.7 |
| 34.71 | 20.6 |

=====

Structure and calculated X-ray diffraction stick pattern of Fe2I2Cl7 (a GGA-PBE-relaxed structure; Cu Kα X-rays).

a = 7.9012 Å, b = 7.9012 Å, c = 8.6220 Å
α = 110.82°, β = 110.82°, γ = 90.70°
Fractional coordinates of all 11 atoms:
Fe  0.2428  0.2428  0.1749
Fe  0.7572  0.7572  0.8251
I  0.1187  0.8813  0.5000
I  0.8813  0.1187  0.5000
Cl  0.0000  0.0000  0.0000
Cl  0.1382  0.4531  0.3448
Cl  0.3287  0.3287  0.0005
Cl  0.4531  0.1382  0.3448
Cl  0.5469  0.8618  0.6552
Cl  0.6713  0.6713  0.9995
Cl  0.8618  0.5469  0.6552

The 10 most intense peaks (2θ = 10–90°), in order of falling intensity:
| Position (°2θ) | I (rel.) |
| --- | --- |
| 20.07 | 100.0 |
| 12.14 | 75.0 |
| 21.60 | 73.1 |
| 34.11 | 66.1 |
| 16.17 | 62.5 |
| 29.07 | 39.3 |
| 11.90 | 38.4 |
| 25.42 | 33.7 |
| 22.26 | 30.9 |
| 19.80 | 30.4 |

=====

Structure and calculated X-ray diffraction stick pattern of Fe2PbI6Cl2 (a GGA-PBE-relaxed structure; Cu Kα X-rays).

a = 7.5525 Å, b = 7.5525 Å, c = 10.2779 Å
α = 90.00°, β = 90.00°, γ = 120.00°
Fractional coordinates of all 11 atoms:
Fe  0.3333  0.6667  0.2318
Fe  0.6667  0.3333  0.7682
Pb  0.0000  0.0000  0.5000
I  0.0022  0.6519  0.3132
I  0.3481  0.3503  0.3132
I  0.3503  0.0022  0.6868
I  0.6497  0.9978  0.3132
I  0.6519  0.6497  0.6868
I  0.9978  0.3481  0.6868
Cl  0.3333  0.6667  0.0229
Cl  0.6667  0.3333  0.9771

The 10 most intense peaks (2θ = 10–90°), in order of falling intensity:
| Position (°2θ) | I (rel.) |
| --- | --- |
| 25.12 | 100.0 |
| 29.36 | 86.3 |
| 16.06 | 53.8 |
| 41.41 | 46.3 |
| 35.38 | 38.3 |
| 42.56 | 37.8 |
| 22.00 | 25.4 |
| 28.64 | 18.1 |
| 37.41 | 16.7 |
| 17.26 | 16.1 |

=====

Structure and calculated X-ray diffraction stick pattern of Fe2PdI6Cl2 (a GGA-PBE-relaxed structure; Cu Kα X-rays).

a = 7.1288 Å, b = 7.1288 Å, c = 9.6019 Å
α = 90.00°, β = 90.00°, γ = 120.00°
Fractional coordinates of all 11 atoms:
Fe  0.3333  0.6667  0.2401
Fe  0.6667  0.3333  0.7599
Pd  0.0000  0.0000  0.5000
I  0.0006  0.6827  0.3269
I  0.3173  0.3179  0.3269
I  0.3179  0.0006  0.6731
I  0.6821  0.9994  0.3269
I  0.6827  0.6821  0.6731
I  0.9994  0.3173  0.6731
Cl  0.3333  0.6667  0.0168
Cl  0.6667  0.3333  0.9832

The 10 most intense peaks (2θ = 10–90°), in order of falling intensity:
| Position (°2θ) | I (rel.) |
| --- | --- |
| 26.68 | 100.0 |
| 31.25 | 67.7 |
| 44.00 | 38.3 |
| 17.07 | 35.8 |
| 45.56 | 35.4 |
| 37.78 | 21.9 |
| 27.88 | 20.2 |
| 52.89 | 18.2 |
| 18.48 | 15.5 |
| 52.20 | 14.2 |

=====

Structure and calculated X-ray diffraction stick pattern of RbFe2I6Cl2 (a GGA-PBE-relaxed structure; Cu Kα X-rays).

a = 7.6654 Å, b = 7.6654 Å, c = 11.2126 Å
α = 90.00°, β = 90.00°, γ = 120.00°
Fractional coordinates of all 11 atoms:
Rb  0.0000  0.0000  0.0000
Fe  0.3333  0.6667  0.7173
Fe  0.6667  0.3333  0.2827
I  0.0070  0.4144  0.1981
I  0.4074  0.9930  0.1981
I  0.4144  0.4074  0.8019
I  0.5856  0.5926  0.1981
I  0.5926  0.0070  0.8019
I  0.9930  0.5856  0.8019
Cl  0.3333  0.6667  0.5260
Cl  0.6667  0.3333  0.4740

The 10 most intense peaks (2θ = 10–90°), in order of falling intensity:
| Position (°2θ) | I (rel.) |
| --- | --- |
| 24.55 | 100.0 |
| 15.81 | 62.2 |
| 28.20 | 54.2 |
| 20.74 | 43.0 |
| 36.70 | 41.2 |
| 33.49 | 38.7 |
| 50.22 | 36.9 |
| 26.86 | 36.3 |
| 13.34 | 32.0 |
| 28.04 | 30.1 |

=====

Structure and calculated X-ray diffraction stick pattern of InFe2Cl (a GGA-PBE-relaxed structure; Cu Kα X-rays).

a = 9.5029 Å, b = 3.0205 Å, c = 7.4169 Å
α = 90.00°, β = 128.52°, γ = 90.00°
Fractional coordinates of all 8 atoms:
In  0.0000  0.0000  0.0000
In  0.5000  0.5000  0.0000
Fe  0.1974  0.0000  0.8453
Fe  0.3026  0.5000  0.1547
Fe  0.6974  0.5000  0.8453
Fe  0.8026  0.0000  0.1547
Cl  0.0000  0.5000  0.5000
Cl  0.5000  0.0000  0.5000

The 10 most intense peaks (2θ = 10–90°), in order of falling intensity:
| Position (°2θ) | I (rel.) |
| --- | --- |
| 15.27 | 100.0 |
| 38.87 | 64.2 |
| 48.14 | 32.7 |
| 37.88 | 30.1 |
| 42.19 | 22.8 |
| 24.49 | 22.4 |
| 31.98 | 22.2 |
| 41.94 | 16.2 |
| 40.72 | 14.8 |
| 51.41 | 14.0 |

=====

Structure and calculated X-ray diffraction stick pattern of TlInFeCl6 (a GGA-PBE-relaxed structure; Cu Kα X-rays).

a = 6.6058 Å, b = 6.6058 Å, c = 7.0995 Å
α = 90.04°, β = 90.04°, γ = 120.07°
Fractional coordinates of all 9 atoms:
Tl  0.0000  0.0000  0.0000
In  0.6667  0.3333  0.5000
Fe  0.3334  0.6666  0.5000
Cl  0.0100  0.3789  0.7014
Cl  0.0102  0.6295  0.2981
Cl  0.3705  0.9898  0.7019
Cl  0.3731  0.3825  0.2965
Cl  0.6175  0.6269  0.7035
Cl  0.6211  0.9900  0.2986

The 10 most intense peaks (2θ = 10–90°), in order of falling intensity:
| Position (°2θ) | I (rel.) |
| --- | --- |
| 19.94 | 100.0 |
| 37.19 | 49.9 |
| 43.78 | 26.1 |
| 33.79 | 21.8 |
| 27.01 | 19.5 |
| 47.71 | 15.9 |
| 29.84 | 12.8 |
| 41.29 | 12.6 |
| 50.03 | 11.5 |
| 57.77 | 11.0 |

=====

Structure and calculated X-ray diffraction stick pattern of FeIrPbCl2 (a GGA-PBE-relaxed structure; Cu Kα X-rays).

a = 4.7383 Å, b = 4.7383 Å, c = 5.5639 Å
α = 90.00°, β = 90.00°, γ = 90.00°
Fractional coordinates of all 5 atoms:
Fe  0.0000  0.0000  0.0000
Ir  0.5000  0.5000  0.5000
Pb  0.5000  0.5000  0.0000
Cl  0.0000  0.5000  0.5000
Cl  0.5000  0.0000  0.5000

The 10 most intense peaks (2θ = 10–90°), in order of falling intensity:
| Position (°2θ) | I (rel.) |
| --- | --- |
| 18.73 | 100.0 |
| 26.60 | 56.8 |
| 37.98 | 43.1 |
| 50.61 | 37.4 |
| 37.49 | 36.7 |
| 42.22 | 34.8 |
| 32.18 | 33.9 |
| 54.43 | 26.0 |
| 42.67 | 25.9 |
| 64.98 | 17.5 |